# 1
This entry pairs a crystal structure of YMg2Zn6 with its theoretical powder diffractogram. Radiation: Cu Kα, 1.54184 Å. Structure: the GGA-PBE geometry in Alexandria.
Peak positions follow from Bragg's law for the DFT cell and can differ from measured ones.

Largest 8 diffraction maxima, sorted by position, 2θ from 15° to 90°:
2theta, intensity
31.7, 83
36.1, 79
39.9, 43
41.3, 46
41.7, 100
50.1, 32
53.3, 27
69.9, 40

Crystal structure
a = 7.7406 Å, b = 7.7406 Å, c = 7.7406 Å
α = 154.36°, β = 122.16°, γ = 64.29°
Atoms (fractional coordinates):
Y1 0.0000 0.0000 0.0000
Mg1 0.3618 0.8618 0.5000
Mg2 0.6382 0.1382 0.5000
Zn1 0.0026 0.3225 0.6801
Zn2 0.3291 0.5000 0.8291
Zn3 0.3575 0.6775 0.6801
Zn4 0.6425 0.3225 0.3199
Zn5 0.6709 0.5000 0.1709
Zn6 0.9974 0.6775 0.3199

***

# 2
This entry pairs a crystal structure of Y2MgZr with its theoretical powder diffractogram. Radiation: Cu Kα, 1.54184 Å. Structure: the GGA-PBE geometry in Alexandria.
Peak positions follow from Bragg's law for the DFT cell and can differ from measured ones.

Largest 8 diffraction maxima, sorted by position, 2θ from 15° to 90°:
2theta, intensity
20.7, 16
32.6, 100
37.1, 35
39.2, 15
53.5, 12
55.1, 21
64.0, 27
66.9, 12

Crystal structure
a = 5.7326 Å, b = 5.7326 Å, c = 5.7326 Å
α = 129.99°, β = 129.99°, γ = 73.42°
Atoms (fractional coordinates):
Y1 0.2500 0.7500 0.5000
Y2 0.7500 0.2500 0.5000
Mg1 0.0000 0.0000 0.0000
Zr1 0.5000 0.5000 0.0000

***

# 3
This entry pairs a crystal structure of Yb19Mg8 with its theoretical powder diffractogram. Radiation: Cu Kα, 1.54184 Å. Structure: the GGA-PBE geometry in Alexandria.
Peak positions follow from Bragg's law for the DFT cell and can differ from measured ones.

Largest 8 diffraction maxima, sorted by position, 2θ from 15° to 90°:
2theta, intensity
23.5, 15
27.9, 5
31.7, 100
44.1, 5
45.5, 18
56.5, 37
66.2, 11
75.3, 15

Crystal structure
a = 10.3688 Å, b = 10.3688 Å, c = 10.3688 Å
α = 109.47°, β = 109.47°, γ = 109.47°
Atoms (fractional coordinates):
Yb1 0.0000 0.0000 0.0000
Yb2 0.0000 0.3169 0.3169
Yb3 0.0000 0.3288 0.6712
Yb4 0.0000 0.6712 0.3288
Yb5 0.0000 0.6831 0.6831
Yb6 0.3169 0.0000 0.3169
Yb7 0.3169 0.3169 0.0000
Yb8 0.3288 0.0000 0.6712
Yb9 0.3288 0.3288 0.6576
Yb10 0.3288 0.6576 0.3288
Yb11 0.3288 0.6712 0.0000
Yb12 0.3424 0.6712 0.6712
Yb13 0.6576 0.3288 0.3288
Yb14 0.6712 0.0000 0.3288
Yb15 0.6712 0.3288 0.0000
Yb16 0.6712 0.3424 0.6712
Yb17 0.6712 0.6712 0.3424
Yb18 0.6831 0.0000 0.6831
Yb19 0.6831 0.6831 0.0000
Mg1 0.0000 0.0000 0.3472
Mg2 0.0000 0.0000 0.6528
Mg3 0.0000 0.3472 0.0000
Mg4 0.0000 0.6528 0.0000
Mg5 0.3472 0.0000 0.0000
Mg6 0.3472 0.3472 0.3472
Mg7 0.6528 0.0000 0.0000
Mg8 0.6528 0.6528 0.6528

***

# 4
This entry pairs a crystal structure of Yb5Mg with its theoretical powder diffractogram. Radiation: Cu Kα, 1.54184 Å. Structure: the GGA-PBE geometry in Alexandria.
Peak positions follow from Bragg's law for the DFT cell and can differ from measured ones.

Largest 8 diffraction maxima, sorted by position, 2θ from 15° to 90°:
2theta, intensity
28.0, 17
29.3, 16
30.4, 34
32.0, 100
33.1, 32
51.1, 14
55.1, 21
60.7, 17

Crystal structure
a = 5.8721 Å, b = 9.3435 Å, c = 9.3435 Å
α = 23.05°, β = 90.00°, γ = 90.00°
Atoms (fractional coordinates):
Yb1 0.0000 0.0000 0.0000
Yb2 0.0000 0.3195 0.3195
Yb3 0.5000 0.1168 0.1168
Yb4 0.5000 0.4463 0.4463
Yb5 0.5000 0.7785 0.7785
Mg1 0.0000 0.6598 0.6598